Record 1
This entry pairs a crystal structure of K2RbMoBr6 with its simulated powder X-ray diffraction pattern. Radiation: Cu Kα. Structure: a DFT-relaxed cell (PBE, the Materials Project).

Atomic structure:
```
data_K2RbMoBr6
_chemical_formula_sum 'K8 Rb4 Mo4 Br24'
_space_group_name_H-M_alt 'F m -3 m'
_space_group_IT_number 225
_space_group_name_Hall '-F 4 2 3'
_cell_length_a 11.659
_cell_length_b 11.659
_cell_length_c 11.659
_cell_angle_alpha 90.00
_cell_angle_beta 90.00
_cell_angle_gamma 90.00
loop_
_atom_site_label
_atom_site_type_symbol
_atom_site_fract_x
_atom_site_fract_y
_atom_site_fract_z
_atom_site_occupancy
K1 K 0.250 0.250 0.250 1
Rb1 Rb 0.000 0.000 0.000 1
Mo1 Mo 0.000 0.000 0.500 1
Br1 Br 0.000 0.000 0.277 1
```

The 10 most intense peaks (10 to 80 degrees two-theta), sorted by position:
| 2θ (°) | d (Å) | Rel. int. |
| --- | --- | --- |
| 13.15 | 6.731 | 17 |
| 15.20 | 5.829 | 79 |
| 26.48 | 3.366 | 50 |
| 30.67 | 2.915 | 100 |
| 34.40 | 2.607 | 32 |
| 40.19 | 2.244 | 19 |
| 43.93 | 2.061 | 65 |
| 46.75 | 1.943 | 17 |
| 54.53 | 1.683 | 20 |
| 72.52 | 1.303 | 21 |

Record 2
This entry pairs a crystal structure of CsScSe2O6 with its simulated powder X-ray diffraction pattern. Radiation: Cu Kα. Structure: a DFT-relaxed cell (PBE, the Materials Project).

Atomic structure:
```
data_CsScSe2O6
_chemical_formula_sum 'Cs4 Sc4 Se8 O24'
_space_group_name_H-M_alt 'P n m a'
_space_group_IT_number 62
_cell_length_a 17.775
_cell_length_b 5.713
_cell_length_c 7.252
_cell_angle_alpha 90.00
_cell_angle_beta 90.00
_cell_angle_gamma 90.00
loop_
_space_group_symop_operation_xyz
'x,y,z'
'-x,-y,-z'
'-x+1/2,-y,z+1/2'
'x+1/2,y,-z+1/2'
'x+1/2,-y+1/2,-z+1/2'
'-x+1/2,y+1/2,z+1/2'
'-x,y+1/2,-z'
'x,-y+1/2,z'
loop_
_atom_site_label
_atom_site_type_symbol
_atom_site_fract_x
_atom_site_fract_y
_atom_site_fract_z
_atom_site_occupancy
Cs1 Cs 0.103 0.250 0.129 1
Sc1 Sc 0.130 0.750 0.647 1
Se1 Se 0.033 0.250 0.606 1
Se2 Se 0.248 0.750 0.079 1
O1 O 0.052 0.014 0.749 1
O2 O 0.065 0.750 0.392 1
O3 O 0.186 0.750 0.896 1
O4 O 0.196 0.015 0.524 1
```

The 10 most intense peaks (10 to 80 degrees two-theta), sorted by position:
| 2θ (°) | d (Å) | Rel. int. |
| --- | --- | --- |
| 18.46 | 4.806 | 29 |
| 24.89 | 3.577 | 92 |
| 25.07 | 3.553 | 62 |
| 25.39 | 3.508 | 33 |
| 28.26 | 3.158 | 100 |
| 29.61 | 3.017 | 72 |
| 31.31 | 2.857 | 48 |
| 32.12 | 2.787 | 37 |
| 40.53 | 2.226 | 31 |
| 45.58 | 1.990 | 36 |